Structure and theoretical powder XRD pattern of Co3OF5 (the PBE+U geometry in the Materials Project; Cu Kα X-rays).
Peak positions follow from Bragg's law for the DFT cell and can differ from measured ones.

Main lines, sorted by position (2θ = 15–90°):
hkl	2θ (°)	d_spacing	intensity
1 1 2	26.62	3.349	1000
1 -1 0	26.76	3.331	983
0 1 -2	34.07	2.631	284
1 0 -2	34.20	2.622	564
2 1 0	34.31	2.613	285
0 1 4	51.91	1.761	327
1 -2 2	52.06	1.757	315
3 2 2	52.16	1.754	308
3 0 0	52.33	1.748	307
-1 2 4	66.37	1.408	213

abc: 5.660 5.679 7.417
angles: 72.92 72.67 71.97
Space group P1 (No. 1)
Inequivalent atoms, fractional coordinates:
Co 0.000 0.000 0.000 x1
Co 0.012 0.994 0.512 x1
Co 0.317 0.305 0.663 x1
Co 0.329 0.322 0.186 x1
Co 0.668 0.655 0.341 x1
Co 0.694 0.618 0.837 x1
O 0.236 0.223 0.467 x1
O 0.967 0.344 0.836 x1
F 0.030 0.633 0.167 x1
F 0.105 0.087 0.208 x1
F 0.303 0.678 0.510 x1
F 0.378 0.936 0.835 x1
F 0.432 0.411 0.877 x1
F 0.572 0.550 0.134 x1
F 0.639 0.016 0.170 x1
F 0.695 0.289 0.511 x1
F 0.769 0.756 0.544 x1
F 0.896 0.877 0.806 x1